Entry 1:
For Na3Ho2NiO6, a GGA+U-relaxed structure gives the calculated powder diffractogram in this record (CuKα).
Kinematic intensities with the Lorentz-polarization factor, no thermal factor.

Peak list (8 most intense, 10 to 90 degrees two-theta, by angle)
Position (°2θ)	Rel. int.	(hkl)
16.0	100	0 0 1
31.9	30	1 3 0
32.4	22	0 0 2
33.4	57	2 0 0
38.3	59	1 3 1
38.6	29	2 0 -2
54.9	19	1 3 -3
56.2	18	3 3 -1

Atomic structure:
```
data_Na3Ho2NiO6
_chemical_formula_sum 'Na6 Ho4 Ni2 O12'
_cell_length_a 5.669
_cell_length_b 9.845
_cell_length_c 5.834
_cell_angle_alpha 90.00
_cell_angle_beta 108.46
_cell_angle_gamma 90.00
_space_group_name_H-M_alt 'C 1 2/m 1'
_space_group_IT_number 12
loop_
_space_group_symop_operation_xyz
'x,y,z'
'-x,-y,-z'
'-x,y,-z'
'x,-y,z'
'x+1/2,y+1/2,z'
'-x+1/2,-y+1/2,-z'
'-x+1/2,y+1/2,-z'
'x+1/2,-y+1/2,z'
loop_
_atom_site_label
_atom_site_fract_x
_atom_site_fract_y
_atom_site_fract_z
_atom_site_occupancy
Na1 0.000 0.000 0.000 1
Na2 0.000 0.344 0.000 1
Ho1 0.000 0.168 0.500 1
Ni1 0.000 0.500 0.500 1
O1 0.227 0.343 0.711 1
O2 0.243 0.500 0.297 1
```

***

Entry 2:
For Mg2VTcO6, a GGA+U-relaxed structure gives the calculated powder diffractogram in this record (CuKα).
Kinematic intensities with the Lorentz-polarization factor, no thermal factor.

Peak list (8 most intense, 10 to 90 degrees two-theta, by angle)
Position (°2θ)	Rel. int.	(hkl)
22.2	88	1 1 0
23.0	100	0 0 1
31.5	54	2 0 0
32.1	41	1 1 1
45.2	59	2 2 0
51.3	39	2 2 1
52.5	36	1 1 2
71.8	26	3 1 2

Atomic structure:
```
data_Mg2VTcO6
_chemical_formula_sum 'Mg2 V1 Tc1 O6'
_cell_length_a 5.674
_cell_length_b 5.674
_cell_length_c 3.868
_cell_angle_alpha 90.00
_cell_angle_beta 90.00
_cell_angle_gamma 90.00
_space_group_name_H-M_alt 'P 4 m m'
_space_group_IT_number 99
loop_
_space_group_symop_operation_xyz
'x,y,z'
'-y,x,z'
'-x,-y,z'
'y,-x,z'
'-x,y,z'
'y,x,z'
'x,-y,z'
'-y,-x,z'
loop_
_atom_site_label
_atom_site_fract_x
_atom_site_fract_y
_atom_site_fract_z
_atom_site_occupancy
Mg1 0.000 0.500 0.000 1
V1 0.000 0.000 0.783 1
Tc1 0.500 0.500 0.842 1
O1 0.000 0.000 0.343 1
O2 0.245 0.245 0.874 1
O3 0.500 0.500 0.348 1
```